Diffraction record for CrI3. The powder diffractogram is computed, not measured: it uses a GGA-PBE-relaxed structure and λ = 1.5418 Å (Cu Kα).

Most intense lines, 2θ from 15° to 90°, sorted by position:
d = 3.566 Å, 2θ 24.97, intensity 29; d = 3.330 Å, 2θ 26.77, intensity 80; d = 2.931 Å, 2θ 30.50, intensity 100; d = 2.303 Å, 2θ 39.11, intensity 13; d = 2.126 Å, 2θ 42.53, intensity 33; d = 2.023 Å, 2θ 44.80, intensity 34; d = 1.759 Å, 2θ 51.97, intensity 19; d = 1.729 Å, 2θ 52.96, intensity 10; d = 1.665 Å, 2θ 55.18, intensity 18; d = 1.285 Å, 2θ 73.70, intensity 11

Crystal structure
abc: 7.008 7.008 21.394
angles: 90.00 90.00 120.00
Atoms (fractional coordinates):
Cr1 0.221 0.111 0.000
Cr2 0.222 0.445 0.667
Cr3 0.222 0.778 0.333
Cr4 0.555 0.778 0.000
Cr5 0.889 0.111 0.333
Cr6 0.889 0.779 0.667
I1 0.197 0.085 0.260
I2 0.197 0.112 0.740
I3 0.197 0.444 0.407
I4 0.197 0.753 0.593
I5 0.247 0.444 0.927
I6 0.247 0.803 0.073
I7 0.530 0.085 0.926
I8 0.530 0.444 0.074
I9 0.556 0.085 0.407
I10 0.556 0.470 0.593
I11 0.556 0.753 0.740
I12 0.556 0.803 0.260
I13 0.888 0.085 0.073
I14 0.888 0.803 0.927
I15 0.915 0.112 0.593
I16 0.915 0.444 0.260
I17 0.915 0.470 0.740
I18 0.915 0.803 0.407

---

Diffraction record for CrI2. The powder diffractogram is computed, not measured: it uses a GGA-PBE-relaxed structure and λ = 1.5418 Å (Cu Kα).

Most intense lines, 2θ from 15° to 90°, sorted by position:
d = 3.878 Å, 2θ 22.93, intensity 71; d = 3.664 Å, 2θ 24.29, intensity 61; d = 3.525 Å, 2θ 25.26, intensity 91; d = 3.447 Å, 2θ 25.85, intensity 52; d = 3.192 Å, 2θ 27.95, intensity 91; d = 3.105 Å, 2θ 28.75, intensity 46; d = 2.870 Å, 2θ 31.16, intensity 100; d = 2.259 Å, 2θ 39.90, intensity 85; d = 2.193 Å, 2θ 41.16, intensity 41; d = 2.020 Å, 2θ 44.87, intensity 42

Crystal structure
abc: 4.480 4.480 14.657
angles: 90.00 90.00 127.67
Atoms (fractional coordinates):
Cr1 0.205 0.795 0.500
Cr2 0.795 0.205 0.000
I1 0.209 0.791 0.120
I2 0.413 0.587 0.888
I3 0.587 0.413 0.388
I4 0.791 0.209 0.620

---

Diffraction record for CrI2. The powder diffractogram is computed, not measured: it uses a GGA-PBE-relaxed structure and λ = 1.5418 Å (Cu Kα).

Most intense lines, 2θ from 15° to 90°, sorted by position:
d = 3.657 Å, 2θ 24.34, intensity 36; d = 3.555 Å, 2θ 25.05, intensity 33; d = 3.407 Å, 2θ 26.16, intensity 69; d = 3.373 Å, 2θ 26.43, intensity 82; d = 2.897 Å, 2θ 30.87, intensity 100; d = 2.284 Å, 2θ 39.46, intensity 18; d = 2.221 Å, 2θ 40.62, intensity 46; d = 2.175 Å, 2θ 41.52, intensity 44; d = 1.973 Å, 2θ 45.99, intensity 18; d = 1.703 Å, 2θ 53.82, intensity 22

Crystal structure
abc: 4.403 4.403 8.096
angles: 112.54 112.54 53.26
Atoms (fractional coordinates):
Cr1 0.000 0.000 0.000
I1 0.276 0.276 0.777
I2 0.724 0.724 0.223

---

Diffraction record for CrI2. The powder diffractogram is computed, not measured: it uses a GGA-PBE-relaxed structure and λ = 1.5418 Å (Cu Kα).

Most intense lines, 2θ from 15° to 90°, sorted by position:
d = 3.595 Å, 2θ 24.76, intensity 22; d = 3.448 Å, 2θ 25.84, intensity 22; d = 3.184 Å, 2θ 28.02, intensity 100; d = 2.854 Å, 2θ 31.35, intensity 41; d = 2.527 Å, 2θ 35.53, intensity 16; d = 2.235 Å, 2θ 40.35, intensity 24; d = 2.051 Å, 2θ 44.17, intensity 38; d = 1.987 Å, 2θ 45.66, intensity 23; d = 1.781 Å, 2θ 51.31, intensity 24; d = 1.724 Å, 2θ 53.12, intensity 16

Crystal structure
abc: 4.101 4.101 14.380
angles: 90.00 90.00 120.00
Atoms (fractional coordinates):
Cr1 0.333 0.667 0.000
Cr2 0.667 0.333 0.500
I1 0.000 0.000 0.386
I2 0.000 0.000 0.886
I3 0.333 0.667 0.613
I4 0.667 0.333 0.113

---

Diffraction record for CrIn3. The powder diffractogram is computed, not measured: it uses a GGA-PBE-relaxed structure and λ = 1.5418 Å (Cu Kα).

Most intense lines, 2θ from 15° to 90°, sorted by position:
d = 3.794 Å, 2θ 23.45, intensity 9; d = 2.696 Å, 2θ 33.24, intensity 23; d = 2.670 Å, 2θ 33.57, intensity 30; d = 2.406 Å, 2θ 37.37, intensity 100; d = 1.897 Å, 2θ 47.96, intensity 16; d = 1.556 Å, 2θ 59.38, intensity 16; d = 1.485 Å, 2θ 62.54, intensity 21; d = 1.345 Å, 2θ 69.97, intensity 19; d = 1.307 Å, 2θ 72.30, intensity 13; d = 1.203 Å, 2θ 79.69, intensity 3

Crystal structure
abc: 6.225 6.225 5.339
angles: 90.00 90.00 120.00
Atoms (fractional coordinates):
Cr1 0.333 0.667 0.250
Cr2 0.667 0.333 0.750
In1 0.170 0.340 0.750
In2 0.170 0.830 0.750
In3 0.340 0.170 0.250
In4 0.660 0.830 0.750
In5 0.830 0.170 0.250
In6 0.830 0.660 0.250

---

Diffraction record for CrIn3. The powder diffractogram is computed, not measured: it uses a GGA-PBE-relaxed structure and λ = 1.5418 Å (Cu Kα).

Most intense lines, 2θ from 15° to 90°, sorted by position:
d = 3.428 Å, 2θ 26.00, intensity 25; d = 2.571 Å, 2θ 34.90, intensity 19; d = 2.543 Å, 2θ 35.29, intensity 100; d = 2.469 Å, 2θ 36.39, intensity 16; d = 2.209 Å, 2θ 40.86, intensity 53; d = 1.781 Å, 2θ 51.31, intensity 17; d = 1.555 Å, 2θ 59.42, intensity 22; d = 1.505 Å, 2θ 61.62, intensity 11; d = 1.331 Å, 2θ 70.80, intensity 13; d = 1.327 Å, 2θ 71.04, intensity 12

Crystal structure
abc: 10.439 10.439 10.439
angles: 17.14 17.14 17.14
Atoms (fractional coordinates):
Cr1 0.000 0.000 0.000
In1 0.264 0.264 0.264
In2 0.500 0.500 0.500
In3 0.736 0.736 0.736

---

Diffraction record for Mg2CrIn3S8. The powder diffractogram is computed, not measured: it uses a GGA-PBE-relaxed structure and λ = 1.5418 Å (Cu Kα).

Most intense lines, 2θ from 15° to 90°, sorted by position:
d = 3.237 Å, 2θ 27.55, intensity 84; d = 3.224 Å, 2θ 27.66, intensity 19; d = 2.681 Å, 2θ 33.43, intensity 100; d = 2.459 Å, 2θ 36.53, intensity 19; d = 2.065 Å, 2θ 43.85, intensity 30; d = 1.899 Å, 2θ 47.89, intensity 45; d = 1.892 Å, 2θ 48.10, intensity 45; d = 1.816 Å, 2θ 50.25, intensity 15; d = 1.550 Å, 2θ 59.66, intensity 16; d = 1.095 Å, 2θ 89.49, intensity 13

Crystal structure
abc: 7.566 7.566 7.566
angles: 60.27 60.27 60.27
Atoms (fractional coordinates):
Mg1 0.125 0.125 0.125
Mg2 0.875 0.875 0.875
Cr1 0.500 0.500 0.500
In1 0.000 0.500 0.500
In2 0.500 0.000 0.500
In3 0.500 0.500 0.000
S1 0.257 0.257 0.257
S2 0.270 0.270 0.722
S3 0.270 0.722 0.270
S4 0.278 0.730 0.730
S5 0.722 0.270 0.270
S6 0.730 0.278 0.730
S7 0.730 0.730 0.278
S8 0.743 0.743 0.743